Starting from a crystal structure in Alexandria, relaxed with GGA-PBE, the powder diffraction line list of PrErCrN4 was computed for Cu Ka.
Kinematic intensities with the Lorentz-polarization factor, no thermal factor.

Main lines, most intense first (10° ≤ 2θ ≤ 80°):
h k l	2θ (°)	d (Å)	I/Imax
1 1 0	23.30	3.818	100
1 1 -2	31.97	2.799	83
0 2 0	32.46	2.758	53
1 1 2	40.29	2.238	39
0 2 2	43.03	2.102	35
2 1 -2	40.18	2.244	34
0 0 2	27.46	3.248	32
2 2 0	47.63	1.909	31
2 0 0	33.88	2.646	29
1 0 -4	53.70	1.707	19

Structure:
```
data_PrErCrN4
_space_group_name_H-M_alt 'P 1 21/m 1'
_space_group_IT_number 11
_space_group_name_Hall '-P 2yb'
_cell_length_a 5.565
_cell_length_b 5.516
_cell_length_c 6.826
_cell_angle_alpha 90.00
_cell_angle_beta 108.03
_cell_angle_gamma 90.00
loop_
_atom_site_label
_atom_site_fract_x
_atom_site_fract_y
_atom_site_fract_z
_atom_site_occupancy
Pr1 0.224 0.250 0.433 1
Er1 0.297 0.250 0.961 1
Cr1 0.256 0.750 0.188 1
N1 0.057 0.750 0.342 1
N2 0.078 0.750 0.935 1
N3 0.467 0.505 0.240 1
```


Starting from a crystal structure in Alexandria, relaxed with GGA-PBE, the powder diffraction line list of SmErCrN3 was computed for Cu Ka.
Kinematic intensities with the Lorentz-polarization factor, no thermal factor.

Main lines, most intense first (10° ≤ 2θ ≤ 80°):
h k l	2θ (°)	d (Å)	I/Imax
2 1 0	36.41	2.468	100
0 1 1	28.98	3.082	78
0 1 2	36.12	2.487	69
0 0 1	12.13	7.295	64
2 0 -2	32.23	2.778	61
2 0 1	29.37	3.041	50
2 1 -1	37.22	2.416	47
0 0 3	36.97	2.432	45
0 0 2	24.40	3.648	27
2 1 -3	49.81	1.831	25

Structure:
```
data_SmErCrN3
_space_group_name_H-M_alt 'P 1 21/m 1'
_space_group_IT_number 11
_space_group_name_Hall '-P 2yb'
_cell_length_a 7.259
_cell_length_b 3.400
_cell_length_c 7.381
_cell_angle_alpha 90.00
_cell_angle_beta 98.76
_cell_angle_gamma 90.00
loop_
_atom_site_label
_atom_site_fract_x
_atom_site_fract_y
_atom_site_fract_z
_atom_site_occupancy
Sm1 0.176 0.250 0.177 1
Er1 0.366 0.750 0.833 1
Cr1 0.082 0.250 0.599 1
N1 0.117 0.250 0.848 1
N2 0.166 0.750 0.523 1
N3 0.405 0.750 0.147 1
```


Starting from a crystal structure in Alexandria, relaxed with GGA-PBE, the powder diffraction line list of Na3Er3CrS8 was computed for Cu Ka.
Kinematic intensities with the Lorentz-polarization factor, no thermal factor.

Main lines, most intense first (10° ≤ 2θ ≤ 80°):
h k l	2θ (°)	d (Å)	I/Imax
0 0 3	13.03	6.796	100
0 2 4	32.21	2.779	90
0 2 1	27.25	3.272	38
2 0 8	44.86	2.020	32
2 2 0	47.51	1.914	29
0 2 7	41.26	2.188	22
2 0 2	28.31	3.153	22
2 2 3	49.48	1.842	20
4 0 4	58.56	1.576	15
2 0 5	34.88	2.572	14

Structure:
```
data_Na3Er3CrS8
_space_group_name_H-M_alt 'R -3 m'
_space_group_IT_number 166
_space_group_name_Hall '-R 3 2"'
_cell_length_a 7.6557
_cell_length_b 7.6557
_cell_length_c 20.3877
_cell_angle_alpha 90.00
_cell_angle_beta 90.00
_cell_angle_gamma 120.00
loop_
_atom_site_label
_atom_site_fract_x
_atom_site_fract_y
_atom_site_fract_z
_atom_site_occupancy
Na1 0.0000 0.5000 0.0000 1
Er1 0.0000 0.5000 0.5000 1
Cr1 0.0000 0.0000 0.5000 1
S1 0.0000 0.0000 0.2424 1
S2 0.0301 0.5151 0.2359 1
```


Starting from a crystal structure in Alexandria, relaxed with GGA-PBE, the powder diffraction line list of Na3Er3CrSe8 was computed for Cu Ka.
Kinematic intensities with the Lorentz-polarization factor, no thermal factor.

Main lines, most intense first (10° ≤ 2θ ≤ 80°):
h k l	2θ (°)	d (Å)	I/Imax
4 0 0	30.81	2.902	100
0 0 1	12.31	7.190	71
2 2 2	42.58	2.123	36
0 4 0	45.63	1.988	33
2 2 -3	39.23	2.296	21
4 0 -1	26.20	3.401	19
4 4 0	56.06	1.640	17
6 2 -3	47.44	1.916	14
10 2 -2	75.07	1.265	13
2 2 3	53.80	1.704	11

Structure:
```
data_Na3Er3CrSe8
_space_group_name_H-M_alt 'C 1 2/m 1'
_space_group_IT_number 12
_space_group_name_Hall '-C 2y'
_cell_length_a 13.785
_cell_length_b 7.948
_cell_length_c 8.537
_cell_angle_alpha 90.00
_cell_angle_beta 122.62
_cell_angle_gamma 90.00
loop_
_atom_site_label
_atom_site_fract_x
_atom_site_fract_y
_atom_site_fract_z
_atom_site_occupancy
Na1 0.000 0.000 0.000 1
Na2 0.250 0.250 0.000 1
Er1 0.000 0.500 0.500 1
Er2 0.250 0.250 0.500 1
Cr1 0.000 0.000 0.500 1
Se1 0.006 0.230 0.288 1
Se2 0.224 0.000 0.712 1
Se3 0.243 0.500 0.730 1
```